# 1
Structure and theoretical XRD peak list of Rb2BaVO4 (a GGA+U-relaxed structure; Cu Ka).

Most intense lines, 15 to 90 degrees two-theta, in order of falling intensity:
- 27.40 deg, 3.255 Å, rel. 1000
- 29.78 deg, 3.000 Å, rel. 947
- 26.04 deg, 3.421 Å, rel. 849
- 28.59 deg, 3.123 Å, rel. 678
- 39.06 deg, 2.306 Å, rel. 502
- 42.68 deg, 2.119 Å, rel. 293

Structure:
```
data_Rb2BaVO4
_space_group_name_H-M_alt 'P 1'
_space_group_IT_number 1
_cell_length_a 7.658
_cell_length_b 7.627
_cell_length_c 6.245
_cell_angle_alpha 90.00
_cell_angle_beta 90.00
_cell_angle_gamma 90.00
loop_
_space_group_symop_operation_xyz
'x,y,z'
loop_
_atom_site_label
_atom_site_fract_x
_atom_site_fract_y
_atom_site_fract_z
Rb1 0.233 0.150 0.000
Rb2 0.267 0.850 0.500
Rb3 0.733 0.850 0.500
Rb4 0.767 0.150 0.000
Ba1 0.000 0.397 0.507
Ba2 0.500 0.603 0.007
V1 0.000 0.675 0.020
V2 0.500 0.325 0.520
O1 0.000 0.446 0.924
O2 0.000 0.687 0.314
O3 0.207 0.778 0.939
O4 0.293 0.222 0.439
O5 0.500 0.313 0.814
O6 0.500 0.554 0.424
O7 0.707 0.222 0.439
O8 0.793 0.778 0.939
```



# 2
Structure and theoretical XRD peak list of Rb2BaV2O7 (a GGA+U-relaxed structure; Cu Ka).

Most intense lines, 15 to 90 degrees two-theta, in order of falling intensity:
- 24.66 deg, 3.610 Å, rel. 1000
- 28.31 deg, 3.153 Å, rel. 956
- 21.99 deg, 4.043 Å, rel. 582
- 44.44 deg, 2.039 Å, rel. 437
- 36.13 deg, 2.486 Å, rel. 334
- 47.96 deg, 1.897 Å, rel. 238

Structure:
```
data_Rb2BaV2O7
_space_group_name_H-M_alt 'P 1'
_space_group_IT_number 1
_cell_length_a 8.806
_cell_length_b 8.806
_cell_length_c 8.806
_cell_angle_alpha 41.96
_cell_angle_beta 41.96
_cell_angle_gamma 41.96
loop_
_space_group_symop_operation_xyz
'x,y,z'
loop_
_atom_site_label
_atom_site_fract_x
_atom_site_fract_y
_atom_site_fract_z
Rb1 0.226 0.226 0.226
Rb2 0.774 0.774 0.774
Ba1 0.000 0.000 0.000
V1 0.424 0.424 0.424
V2 0.576 0.576 0.576
O1 0.185 0.332 0.690
O2 0.310 0.668 0.815
O3 0.332 0.690 0.185
O4 0.500 0.500 0.500
O5 0.668 0.815 0.310
O6 0.690 0.185 0.332
O7 0.815 0.310 0.668
```